For MgAl4H12O12, a cell relaxed with PBE gives the calculated X-ray powder pattern in this record (λ = 1.5418 Å (Cu Kα)).

Principal peaks in the range 15° ≤ 2θ ≤ 90°, in order of rising 2θ:
2θ (°)	intensity	hkl
15.57	100.0	0 1 1
19.99	20.2	0 1 -1
20.15	18.5	1 0 1
37.42	12.3	2 0 0
40.20	14.2	1 3 0
45.21	15.8	-2 1 1

```
MgAl4H12O12
1.0
5.0474 0.0000 0.0000
1.7248 7.1594 0.0000
1.9229 1.7712 7.0622
Mg Al H O
1 4 12 12
Direct
0.0000 0.0000 0.0000 Mg
0.0499 0.7013 0.7789 Al
0.0926 0.4186 0.1430 Al
0.5617 0.8778 0.6098 Al
0.5770 0.2475 0.3188 Al
0.0643 0.0572 0.6343 H
0.0649 0.7795 0.4297 H
0.0925 0.0822 0.2990 H
0.1263 0.4457 0.4689 H
0.3528 0.6860 0.0032 H
0.5274 0.2036 0.0146 H
0.5306 0.5247 0.7129 H
0.5489 0.9436 0.2476 H
0.6063 0.1809 0.6771 H
0.6300 0.9009 0.9262 H
0.6568 0.5628 0.3473 H
0.8170 0.4235 0.9252 H
0.0093 0.4471 0.8991 O
0.1493 0.6845 0.0316 O
0.1658 0.9567 0.7227 O
0.2052 0.3653 0.3795 O
0.4217 0.6439 0.6530 O
0.4771 0.3201 0.0733 O
0.4823 0.9923 0.3662 O
0.6488 0.1292 0.5641 O
0.6660 0.7965 0.8505 O
0.7194 0.4768 0.2626 O
0.9318 0.7419 0.5462 O
0.9780 0.1569 0.2049 O
```